# 1
The following is a calculated X-ray diffraction stick pattern of RbAg3Se2. It was derived from a cell relaxed with PBE, using λ = 1.5418 Å (Cu Kα).
Neutral-atom scattering factors, no anomalous dispersion.

Structure:
Cell lengths 8.710, 8.710, 9.105 Å; angles 112.99, 112.99, 29.67 degrees
Fractional coordinates of all 12 atoms:
1 Rb 0.136 0.136 0.049
2 Rb 0.864 0.864 0.951
3 Ag 0.058 0.058 0.402
4 Ag 0.312 0.312 0.565
5 Ag 0.408 0.408 0.357
6 Ag 0.592 0.592 0.643
7 Ag 0.688 0.688 0.435
8 Ag 0.942 0.942 0.598
9 Se 0.198 0.198 0.696
10 Se 0.481 0.481 0.781
11 Se 0.519 0.519 0.219
12 Se 0.802 0.802 0.304

Top 8 peaks for 2θ from 10° to 90°, in order of rising 2θ:
d 8.329, intensity 100; d 3.169, intensity 24; d 2.868, intensity 84; d 2.579, intensity 42; d 2.333, intensity 41; d 2.289, intensity 26; d 2.230, intensity 37; d 2.068, intensity 22



# 2
The following is a calculated X-ray diffraction stick pattern of CdN4Cl6. It was derived from a cell relaxed with PBE, using λ = 1.5418 Å (Cu Kα).
Neutral-atom scattering factors, no anomalous dispersion.

Structure:
Cell lengths 9.888, 9.888, 9.888 Å; angles 113.07, 113.07, 113.07 degrees
Fractional coordinates of all 22 atoms:
1 Cd 0.000 0.000 0.000
2 Cd 0.500 0.500 0.500
3 N 0.010 0.750 0.490
4 N 0.250 0.250 0.250
5 N 0.250 0.510 0.990
6 N 0.490 0.010 0.750
7 N 0.510 0.990 0.250
8 N 0.750 0.490 0.010
9 N 0.750 0.750 0.750
10 N 0.990 0.250 0.510
11 Cl 0.047 0.328 0.924
12 Cl 0.076 0.953 0.672
13 Cl 0.172 0.453 0.576
14 Cl 0.328 0.924 0.047
15 Cl 0.424 0.828 0.547
16 Cl 0.453 0.576 0.172
17 Cl 0.547 0.424 0.828
18 Cl 0.576 0.172 0.453
19 Cl 0.672 0.076 0.953
20 Cl 0.828 0.547 0.424
21 Cl 0.924 0.047 0.328
22 Cl 0.953 0.672 0.076

Top 8 peaks for 2θ from 10° to 90°, in order of rising 2θ:
d 8.248, intensity 78; d 4.470, intensity 42; d 3.548, intensity 27; d 3.479, intensity 44; d 3.118, intensity 100; d 2.809, intensity 28; d 2.531, intensity 27; d 2.157, intensity 24



# 3
The following is a calculated X-ray diffraction stick pattern of Nb2Bi2PbO9. It was derived from a cell relaxed with PBE, using λ = 1.5418 Å (Cu Kα).
Neutral-atom scattering factors, no anomalous dispersion.

Structure:
Cell lengths 12.869, 12.869, 12.869 Å; angles 162.28, 162.28, 25.17 degrees
Fractional coordinates of all 14 atoms:
1 Nb 0.088 0.088 0.000
2 Nb 0.912 0.912 0.000
3 Bi 0.299 0.299 0.000
4 Bi 0.701 0.701 0.000
5 Pb 0.500 0.500 0.000
6 O 0.000 0.000 0.000
7 O 0.080 0.580 0.500
8 O 0.163 0.163 0.000
9 O 0.250 0.750 0.500
10 O 0.420 0.920 0.500
11 O 0.580 0.080 0.500
12 O 0.750 0.250 0.500
13 O 0.837 0.837 0.000
14 O 0.920 0.420 0.500

Top 8 peaks for 2θ from 10° to 90°, in order of rising 2θ:
d 6.280, intensity 11; d 3.112, intensity 100; d 2.804, intensity 38; d 2.512, intensity 13; d 1.982, intensity 22; d 1.871, intensity 24; d 1.672, intensity 34; d 1.556, intensity 12